1.
Structure and theoretical X-ray diffraction stick pattern of Lu3Ge3Ru2 (a crystal structure in the Materials Project, relaxed with GGA-PBE; CuKα).
Neutral-atom scattering factors, no anomalous dispersion.

Top 6 peaks for 2θ from 10° to 80°, most intense first:
hkl 1 1 4, 34.7°, I = 1000; hkl 1 3 3, 38.5°, I = 632; hkl 1 3 1, 33.6°, I = 605; hkl 2 0 0, 42.7°, I = 464; hkl 0 2 5, 36.8°, I = 256; hkl 0 0 6, 39.4°, I = 228

Atomic structure:
a = 4.233 Å, b = 10.631 Å, c = 13.734 Å
α = 90.00°, β = 90.00°, γ = 90.00°
Space group Cmcm (No. 63)
Unique sites:
Lu1 0.000 0.077 0.114 (multiplicity 8)
Lu2 0.000 0.354 0.250 (multiplicity 4)
Ge1 0.000 0.340 0.750 (multiplicity 4)
Ge2 0.000 0.386 0.041 (multiplicity 8)
Ru1 0.000 0.212 0.584 (multiplicity 8)

2.
Structure and theoretical X-ray diffraction stick pattern of Ta2Bi2O9 (a crystal structure in the Materials Project, relaxed with GGA-PBE; CuKα).
Neutral-atom scattering factors, no anomalous dispersion.

Top 6 peaks for 2θ from 10° to 80°, most intense first:
hkl 5 1 1, 29.5°, I = 1000; hkl 3 1 1, 25.5°, I = 538; hkl 1 1 1, 23.3°, I = 311; hkl 0 2 0, 33.1°, I = 309; hkl 13 1 1, 54.5°, I = 274; hkl 8 0 0, 29.4°, I = 263

Atomic structure:
a = 24.316 Å, b = 5.409 Å, c = 5.538 Å
α = 90.00°, β = 90.00°, γ = 90.00°
Space group Cmc2_1 (No. 36)
Unique sites:
Ta1 0.077 0.247 0.000 (multiplicity 8)
Bi1 0.195 0.280 0.604 (multiplicity 8)
O1 0.000 0.168 0.972 (multiplicity 4)
O2 0.071 0.476 0.256 (multiplicity 8)
O3 0.101 0.033 0.703 (multiplicity 8)
O4 0.160 0.347 0.982 (multiplicity 8)
O5 0.245 0.012 0.821 (multiplicity 8)

Which formula does entry 2 have?
Ta2Bi2O9

Please write out number 1 again, unchanged.
Structure and theoretical X-ray diffraction stick pattern of Lu3Ge3Ru2 (a crystal structure in the Materials Project, relaxed with GGA-PBE; CuKα).
Neutral-atom scattering factors, no anomalous dispersion.

Top 6 peaks for 2θ from 10° to 80°, most intense first:
hkl 1 1 4, 34.7°, I = 1000; hkl 1 3 3, 38.5°, I = 632; hkl 1 3 1, 33.6°, I = 605; hkl 2 0 0, 42.7°, I = 464; hkl 0 2 5, 36.8°, I = 256; hkl 0 0 6, 39.4°, I = 228

Atomic structure:
a = 4.233 Å, b = 10.631 Å, c = 13.734 Å
α = 90.00°, β = 90.00°, γ = 90.00°
Space group Cmcm (No. 63)
Unique sites:
Lu1 0.000 0.077 0.114 (multiplicity 8)
Lu2 0.000 0.354 0.250 (multiplicity 4)
Ge1 0.000 0.340 0.750 (multiplicity 4)
Ge2 0.000 0.386 0.041 (multiplicity 8)
Ru1 0.000 0.212 0.584 (multiplicity 8)